1.
Diffraction record for HfHg3Se2Cl6. The X-ray powder pattern is theoretical, not measured: it uses the PBE geometry in the Materials Project and Cu Kα (weighted mean of Kα1 and Kα2).

Most intense lines, 2θ = 10–80°, low angle first:
Position (°2θ)  intensity
13.11  76
18.51  100
18.85  85
26.44  67
26.59  62
29.57  44
30.01  36
37.53  56
38.11  54
46.78  41

Crystal structure
Unit cell a=6.7549 b=7.7278 c=13.4794 alpha=90.00 beta=91.78 gamma=90.00
Space group P2_1/c (No. 14)
Inequivalent atoms, fractional coordinates:
Hf1 0.0000 0.0000 0.0000 x2
Hg1 0.4938 0.2048 0.2385 x4
Hg2 0.5000 0.0000 0.5000 x2
Se1 0.3199 0.5370 0.8309 x4
Cl1 0.1361 0.2254 0.5653 x4
Cl2 0.1475 0.0504 0.8377 x4
Cl3 0.3059 0.6484 0.5578 x4

***

2.
Diffraction record for MnCu2SiTe4. The X-ray powder pattern is theoretical, not measured: it uses the PBE geometry in the Materials Project and Cu Kα (weighted mean of Kα1 and Kα2).

Most intense lines, 2θ = 10–80°, low angle first:
Position (°2θ)  intensity
25.54  100
29.39  8
42.04  22
42.47  44
49.84  30
50.58  15
60.97  7
67.81  12
77.12  13
77.99  7

Crystal structure
Unit cell a=6.0784 b=6.0784 c=11.9300 alpha=90.00 beta=90.00 gamma=90.00
Space group I-42m (No. 121)
Inequivalent atoms, fractional coordinates:
Mn1 0.0000 0.0000 0.0000 x2
Cu1 0.0000 0.5000 0.2500 x4
Si1 0.0000 0.0000 0.5000 x2
Te1 0.2388 0.2388 0.3698 x8